# 1
Diffraction record for Ti2H2Pd. The powder X-ray diffraction pattern is simulated, not measured: it uses a crystal structure in the Materials Project, relaxed with GGA-PBE and copper Kα.
No peak broadening, texture or thermal motion is included.

```
data_Ti2H2Pd
_space_group_name_H-M_alt 'I 4/m m m'
_space_group_IT_number 139
_space_group_name_Hall '-I 4 2'
_cell_length_a 2.859
_cell_length_b 2.859
_cell_length_c 12.533
_cell_angle_alpha 90.00
_cell_angle_beta 90.00
_cell_angle_gamma 90.00
loop_
_atom_site_label
_atom_site_type_symbol
_atom_site_fract_x
_atom_site_fract_y
_atom_site_fract_z
Ti1 Ti 0.000 0.000 0.160
H1 H 0.000 0.000 0.314
Pd1 Pd 0.000 0.000 0.500
```

Most intense lines, 15 to 90 degrees two-theta, low angle first:
(hkl)  d (Å)  I_rel
1 0 1  2.787  14
1 0 3  2.359  100
0 0 6  2.089  17
1 1 0  2.022  33
1 0 5  1.885  9
1 1 6  1.453  20
2 0 0  1.429  10
1 0 9  1.252  11
2 1 3  1.223  22
2 0 6  1.180  10



# 2
Diffraction record for Ti2HPd. The powder X-ray diffraction pattern is simulated, not measured: it uses a crystal structure in the Materials Project, relaxed with GGA-PBE and copper Kα.
No peak broadening, texture or thermal motion is included.

```
data_Ti2HPd
_space_group_name_H-M_alt 'P 4/m m m'
_space_group_IT_number 123
_space_group_name_Hall '-P 4 2'
_cell_length_a 2.895
_cell_length_b 2.895
_cell_length_c 11.934
_cell_angle_alpha 90.00
_cell_angle_beta 90.00
_cell_angle_gamma 90.00
loop_
_atom_site_label
_atom_site_type_symbol
_atom_site_fract_x
_atom_site_fract_y
_atom_site_fract_z
Ti1 Ti 0.000 0.000 0.159
Ti2 Ti 0.500 0.500 0.332
H1 H 0.000 0.000 0.319
Pd1 Pd 0.000 0.000 0.500
Pd2 Pd 0.500 0.500 0.000
```

Most intense lines, 15 to 90 degrees two-theta, low angle first:
(hkl)  d (Å)  I_rel
1 0 1  2.814  15
1 0 3  2.341  100
1 1 0  2.047  34
0 0 6  1.989  15
1 0 5  1.842  6
2 0 0  1.448  10
1 1 6  1.427  19
2 1 3  1.231  23
1 0 9  1.206  12
2 0 6  1.170  10



# 3
Diffraction record for PrH3. The powder X-ray diffraction pattern is simulated, not measured: it uses a crystal structure in the Materials Project, relaxed with GGA-PBE and copper Kα.
No peak broadening, texture or thermal motion is included.

```
data_PrH3
_space_group_name_H-M_alt 'I 4/m m m'
_space_group_IT_number 139
_space_group_name_Hall '-I 4 2'
_cell_length_a 3.700
_cell_length_b 3.700
_cell_length_c 6.012
_cell_angle_alpha 90.00
_cell_angle_beta 90.00
_cell_angle_gamma 90.00
loop_
_atom_site_label
_atom_site_type_symbol
_atom_site_fract_x
_atom_site_fract_y
_atom_site_fract_z
Pr1 Pr 0.000 0.000 0.000
H1 H 0.000 0.000 0.500
H2 H 0.000 0.500 0.250
```

Most intense lines, 15 to 90 degrees two-theta, low angle first:
(hkl)  d (Å)  I_rel
1 0 1  3.151  100
0 0 2  3.006  22
1 1 0  2.617  30
1 1 2  1.974  29
2 0 0  1.850  12
1 0 3  1.762  19
2 1 1  1.595  27
2 0 2  1.576  13
2 1 3  1.276  13
3 1 2  1.090  8



> Number 3 is which compound?

PrH3